Entry 1:
Simulated X-ray diffraction stick pattern
Compound: Sm4TePb2
Radiation: Cu Kα (λ = 1.5418 Å)
Structure: a DFT-relaxed cell (PBE, Alexandria)
Neutral-atom scattering factors, no anomalous dispersion.

Principal peaks in the range 5° ≤ 2θ ≤ 70°, sorted by position:
2θ/deg, Rel. int.
22.9, 8
29.7, 100
35.3, 66
42.6, 16
44.7, 12
46.8, 14
48.9, 14
59.9, 9
60.1, 20
63.4, 14

Unit cell a=8.2285 b=8.2285 c=8.2285 alpha=109.53 beta=109.53 gamma=109.35
Element x y z (fractional)
Sm  0.1244  0.0154  0.7454
Sm  0.1290  0.5200  0.7546
Sm  0.2700  0.3790  0.2546
Sm  0.4800  0.2346  0.6090
Sm  0.6210  0.8756  0.8910
Sm  0.6256  0.8710  0.3910
Sm  0.7654  0.3744  0.2454
Sm  0.9846  0.7300  0.1090
Te  0.2500  0.7500  0.5000
Te  0.5000  0.5000  0.0000
Pb  0.0000  0.1250  0.3750
Pb  0.3750  0.0000  0.1250
Pb  0.7500  0.6250  0.6250
Pb  0.8750  0.2500  0.8750


Entry 2:
Simulated X-ray diffraction stick pattern
Compound: Sm3TlPb2
Radiation: Cu Kα (λ = 1.5418 Å)
Structure: a DFT-relaxed cell (PBE, Alexandria)
Neutral-atom scattering factors, no anomalous dispersion.

Principal peaks in the range 5° ≤ 2θ ≤ 70°, sorted by position:
2θ/deg, Rel. int.
27.6, 26
30.9, 22
31.7, 100
34.3, 14
36.8, 14
37.4, 30
42.0, 11
49.2, 12
57.5, 15
63.9, 15

Unit cell a=12.9022 b=4.8114 c=11.8863 alpha=90.00 beta=90.00 gamma=90.00
Element x y z (fractional)
Sm  0.0326  0.2500  0.1238
Sm  0.1390  0.7500  0.5748
Sm  0.1982  0.2500  0.8201
Sm  0.3018  0.7500  0.3201
Sm  0.3610  0.2500  0.0748
Sm  0.4674  0.7500  0.6238
Sm  0.5326  0.2500  0.3762
Sm  0.6390  0.7500  0.9252
Sm  0.6982  0.2500  0.6799
Sm  0.8018  0.7500  0.1799
Sm  0.8610  0.2500  0.4252
Sm  0.9674  0.7500  0.8762
Tl  0.1538  0.2500  0.3522
Tl  0.3462  0.7500  0.8522
Tl  0.6538  0.2500  0.1478
Tl  0.8462  0.7500  0.6478
Pb  0.0035  0.7500  0.3298
Pb  0.1795  0.7500  0.0396
Pb  0.3205  0.2500  0.5396
Pb  0.4965  0.2500  0.8298
Pb  0.5035  0.7500  0.1702
Pb  0.6795  0.7500  0.4604
Pb  0.8205  0.2500  0.9604
Pb  0.9965  0.2500  0.6702


Entry 3:
Simulated X-ray diffraction stick pattern
Compound: Sm7Tl2Pb2
Radiation: Cu Kα (λ = 1.5418 Å)
Structure: a DFT-relaxed cell (PBE, Alexandria)
Neutral-atom scattering factors, no anomalous dispersion.

Principal peaks in the range 5° ≤ 2θ ≤ 70°, sorted by position:
2θ/deg, Rel. int.
19.1, 26
24.3, 63
26.5, 31
30.9, 54
34.5, 40
35.2, 100
38.1, 22
39.7, 26
41.7, 20
43.5, 15

Unit cell a=7.1270 b=7.1270 c=7.7596 alpha=90.00 beta=90.00 gamma=108.50
Element x y z (fractional)
Sm  0.0000  0.0000  0.0000
Sm  0.0000  0.5000  0.2908
Sm  0.0000  0.5000  0.7092
Sm  0.5000  0.0000  0.2908
Sm  0.5000  0.0000  0.7092
Sm  0.5000  0.5000  0.2530
Sm  0.5000  0.5000  0.7470
Tl  0.2843  0.7157  0.0000
Tl  0.7157  0.2843  0.0000
Pb  0.1830  0.1830  0.5000
Pb  0.8170  0.8170  0.5000


Entry 4:
Simulated X-ray diffraction stick pattern
Compound: Sm2TlPb5
Radiation: Cu Kα (λ = 1.5418 Å)
Structure: a DFT-relaxed cell (PBE, Alexandria)
Neutral-atom scattering factors, no anomalous dispersion.

Principal peaks in the range 5° ≤ 2θ ≤ 70°, sorted by position:
2θ/deg, Rel. int.
18.3, 1
25.7, 1
31.7, 100
36.3, 18
37.0, 33
52.8, 24
53.3, 12
62.5, 15
63.4, 28
66.2, 12

Unit cell a=6.8698 b=13.7555 c=4.9467 alpha=90.00 beta=90.00 gamma=90.00
Element x y z (fractional)
Sm  0.2454  0.1269  0.0000
Sm  0.2546  0.6269  0.0000
Sm  0.7454  0.3731  0.0000
Sm  0.7546  0.8731  0.0000
Tl  0.0000  0.5000  0.5000
Tl  0.5000  0.0000  0.5000
Pb  0.0000  0.0000  0.5000
Pb  0.0024  0.7492  0.5000
Pb  0.2458  0.3766  0.0000
Pb  0.2542  0.8766  0.0000
Pb  0.4976  0.2492  0.5000
Pb  0.5000  0.5000  0.5000
Pb  0.5024  0.7508  0.5000
Pb  0.7458  0.1234  0.0000
Pb  0.7542  0.6234  0.0000
Pb  0.9976  0.2508  0.5000


Entry 5:
Simulated X-ray diffraction stick pattern
Compound: Sm2TlPb2
Radiation: Cu Kα (λ = 1.5418 Å)
Structure: a DFT-relaxed cell (PBE, Alexandria)
Neutral-atom scattering factors, no anomalous dispersion.

Principal peaks in the range 5° ≤ 2θ ≤ 70°, sorted by position:
2θ/deg, Rel. int.
19.8, 13
29.4, 28
31.4, 100
34.4, 45
40.0, 16
40.2, 20
53.9, 25
60.8, 13
64.2, 13
67.7, 11

Unit cell a=8.2544 b=8.2544 c=8.9639 alpha=90.00 beta=90.00 gamma=90.00
Element x y z (fractional)
Sm  0.1752  0.3253  0.0000
Sm  0.1747  0.3248  0.5000
Sm  0.3253  0.8248  0.0000
Sm  0.3248  0.8253  0.5000
Sm  0.6747  0.1752  0.0000
Sm  0.6752  0.1747  0.5000
Sm  0.8248  0.6747  0.0000
Sm  0.8253  0.6752  0.5000
Tl  0.0000  0.0000  0.2492
Tl  0.0000  0.0000  0.7508
Tl  0.5000  0.5000  0.2508
Tl  0.5000  0.5000  0.7492
Pb  0.1295  0.6295  0.2500
Pb  0.1295  0.6295  0.7500
Pb  0.3705  0.1295  0.2500
Pb  0.3705  0.1295  0.7500
Pb  0.6295  0.8705  0.2500
Pb  0.6295  0.8705  0.7500
Pb  0.8705  0.3705  0.2500
Pb  0.8705  0.3705  0.7500


Entry 6:
Simulated X-ray diffraction stick pattern
Compound: Sm3Tl2Pb
Radiation: Cu Kα (λ = 1.5418 Å)
Structure: a DFT-relaxed cell (PBE, Alexandria)
Neutral-atom scattering factors, no anomalous dispersion.

Principal peaks in the range 5° ≤ 2θ ≤ 70°, sorted by position:
2θ/deg, Rel. int.
24.4, 2
32.0, 100
34.8, 40
41.4, 12
50.0, 14
55.2, 22
60.6, 16
60.7, 16
66.9, 12
69.6, 11

Unit cell a=5.1588 b=15.4581 c=4.3616 alpha=90.00 beta=90.00 gamma=90.00
Element x y z (fractional)
Sm  0.0000  0.0000  0.0000
Sm  0.0000  0.3340  0.0000
Sm  0.0000  0.6660  0.0000
Sm  0.5000  0.1660  0.0000
Sm  0.5000  0.5000  0.0000
Sm  0.5000  0.8340  0.0000
Tl  0.0000  0.1698  0.5000
Tl  0.0000  0.8302  0.5000
Tl  0.5000  0.3302  0.5000
Tl  0.5000  0.6698  0.5000
Pb  0.0000  0.5000  0.5000
Pb  0.5000  0.0000  0.5000


Entry 7:
Simulated X-ray diffraction stick pattern
Compound: Sm2TlPb3
Radiation: Cu Kα (λ = 1.5418 Å)
Structure: a DFT-relaxed cell (PBE, Alexandria)
Neutral-atom scattering factors, no anomalous dispersion.

Principal peaks in the range 5° ≤ 2θ ≤ 70°, sorted by position:
2θ/deg, Rel. int.
31.8, 100
34.2, 18
37.6, 17
38.8, 15
51.7, 12
55.1, 11
59.8, 12
64.2, 14
65.9, 13
66.5, 11

Unit cell a=4.6402 b=15.7278 c=4.7890 alpha=90.00 beta=90.00 gamma=90.00
Element x y z (fractional)
Sm  0.0000  0.1495  0.0000
Sm  0.0000  0.8505  0.0000
Sm  0.5000  0.3505  0.0000
Sm  0.5000  0.6495  0.0000
Tl  0.0000  0.0000  0.5000
Tl  0.5000  0.5000  0.5000
Pb  0.0000  0.3244  0.5000
Pb  0.0000  0.5000  0.0000
Pb  0.0000  0.6756  0.5000
Pb  0.5000  0.0000  0.0000
Pb  0.5000  0.1756  0.5000
Pb  0.5000  0.8244  0.5000


Entry 8:
Simulated X-ray diffraction stick pattern
Compound: SmTm3Pb4
Radiation: Cu Kα (λ = 1.5418 Å)
Structure: a DFT-relaxed cell (PBE, Alexandria)
Neutral-atom scattering factors, no anomalous dispersion.

Principal peaks in the range 5° ≤ 2θ ≤ 70°, sorted by position:
2θ/deg, Rel. int.
21.2, 1
32.2, 25
32.3, 100
39.9, 28
52.1, 26
57.5, 20
57.7, 10
67.3, 3
67.6, 12
67.7, 25

Unit cell a=11.1258 b=6.3915 c=6.3935 alpha=90.00 beta=90.00 gamma=90.00
Element x y z (fractional)
Sm  0.0000  0.0000  0.0000
Sm  0.5000  0.0000  0.5000
Tm  0.0000  0.5000  0.5000
Tm  0.2500  0.2527  0.2500
Tm  0.2500  0.7473  0.7500
Tm  0.5000  0.5000  0.0000
Tm  0.7500  0.2527  0.2500
Tm  0.7500  0.7473  0.7500
Pb  0.0000  0.0000  0.5000
Pb  0.0000  0.5000  0.0000
Pb  0.2500  0.2487  0.7500
Pb  0.2500  0.7513  0.2500
Pb  0.5000  0.0000  0.0000
Pb  0.5000  0.5000  0.5000
Pb  0.7500  0.2487  0.7500
Pb  0.7500  0.7513  0.2500


Entry 9:
Simulated X-ray diffraction stick pattern
Compound: Sm2TmPb9
Radiation: Cu Kα (λ = 1.5418 Å)
Structure: a DFT-relaxed cell (PBE, Alexandria)
Neutral-atom scattering factors, no anomalous dispersion.

Principal peaks in the range 5° ≤ 2θ ≤ 70°, sorted by position:
2θ/deg, Rel. int.
18.1, 1
25.7, 1
31.7, 100
36.7, 51
41.2, 1
52.9, 36
63.0, 29
63.1, 14
66.1, 12

Unit cell a=4.8978 b=4.8978 c=14.6631 alpha=90.00 beta=90.00 gamma=90.00
Element x y z (fractional)
Sm  0.0000  0.0000  0.1669
Sm  0.0000  0.0000  0.8331
Tm  0.0000  0.0000  0.5000
Pb  0.0000  0.5000  0.0000
Pb  0.0000  0.5000  0.3367
Pb  0.0000  0.5000  0.6633
Pb  0.5000  0.0000  0.0000
Pb  0.5000  0.0000  0.3367
Pb  0.5000  0.0000  0.6633
Pb  0.5000  0.5000  0.1684
Pb  0.5000  0.5000  0.5000
Pb  0.5000  0.5000  0.8316


Entry 10:
Simulated X-ray diffraction stick pattern
Compound: SmTm2Pb
Radiation: Cu Kα (λ = 1.5418 Å)
Structure: a DFT-relaxed cell (PBE, Alexandria)
Neutral-atom scattering factors, no anomalous dispersion.

Principal peaks in the range 5° ≤ 2θ ≤ 70°, sorted by position:
2θ/deg, Rel. int.
27.3, 22
29.5, 60
31.9, 29
33.7, 100
38.2, 28
38.9, 27
50.6, 16
51.1, 16
55.6, 19
65.6, 17

Unit cell a=4.6349 b=4.7138 c=11.4568 alpha=90.00 beta=101.63 gamma=90.00
Element x y z (fractional)
Sm  0.1902  0.2500  0.3823
Sm  0.8098  0.7500  0.6177
Tm  0.0556  0.7500  0.1115
Tm  0.4385  0.7500  0.8765
Tm  0.5615  0.2500  0.1235
Tm  0.9444  0.2500  0.8885
Pb  0.3369  0.2500  0.6714
Pb  0.6631  0.7500  0.3286


Entry 11:
Simulated X-ray diffraction stick pattern
Compound: Sm12Tm7Pb
Radiation: Cu Kα (λ = 1.5418 Å)
Structure: a DFT-relaxed cell (PBE, Alexandria)
Neutral-atom scattering factors, no anomalous dispersion.

Principal peaks in the range 5° ≤ 2θ ≤ 70°, sorted by position:
2θ/deg, Rel. int.
30.6, 31
30.9, 31
31.1, 100
32.5, 56
32.8, 64
34.1, 24
53.4, 15
53.8, 18
54.2, 28
57.5, 19

Unit cell a=8.6712 b=8.6712 c=8.6712 alpha=89.36 beta=89.36 gamma=89.36
Element x y z (fractional)
Sm  0.0030  0.8812  0.3550
Sm  0.1188  0.6450  0.9970
Sm  0.2313  0.7617  0.6291
Sm  0.2383  0.3709  0.7687
Sm  0.3550  0.0030  0.8812
Sm  0.3709  0.7687  0.2383
Sm  0.6291  0.2313  0.7617
Sm  0.6450  0.9970  0.1188
Sm  0.7617  0.6291  0.2313
Sm  0.7687  0.2383  0.3709
Sm  0.8812  0.3550  0.0030
Sm  0.9970  0.1188  0.6450
Tm  0.0000  0.0000  0.0000
Tm  0.1206  0.4441  0.3524
Tm  0.3524  0.1206  0.4441
Tm  0.4441  0.3524  0.1206
Tm  0.5559  0.6476  0.8795
Tm  0.6476  0.8795  0.5559
Tm  0.8794  0.5559  0.6476
Pb  0.5000  0.5000  0.5000


Entry 12:
Simulated X-ray diffraction stick pattern
Compound: SmVPb
Radiation: Cu Kα (λ = 1.5418 Å)
Structure: a DFT-relaxed cell (PBE, Alexandria)
Neutral-atom scattering factors, no anomalous dispersion.

Principal peaks in the range 5° ≤ 2θ ≤ 70°, sorted by position:
2θ/deg, Rel. int.
21.8, 49
29.9, 100
30.4, 34
31.9, 24
37.2, 57
37.3, 57
39.3, 41
42.5, 34
43.0, 33
60.8, 24

Unit cell a=4.2034 b=4.2505 c=8.1607 alpha=90.03 beta=90.22 gamma=90.00
Element x y z (fractional)
Sm  0.2484  0.2499  0.3446
Sm  0.7516  0.7501  0.6554
V  0.2449  0.7506  0.9989
V  0.7551  0.2494  0.0011
Pb  0.2529  0.2503  0.7661
Pb  0.7471  0.7497  0.2339


Entry 13:
Simulated X-ray diffraction stick pattern
Compound: SmYPb
Radiation: Cu Kα (λ = 1.5418 Å)
Structure: a DFT-relaxed cell (PBE, Alexandria)
Neutral-atom scattering factors, no anomalous dispersion.

Principal peaks in the range 5° ≤ 2θ ≤ 70°, sorted by position:
2θ/deg, Rel. int.
27.3, 54
29.2, 60
30.8, 34
34.3, 100
36.6, 32
38.9, 62
50.5, 35
54.5, 20
56.3, 21
67.6, 28

Unit cell a=4.6252 b=4.6252 c=8.7016 alpha=90.00 beta=90.00 gamma=90.00
Element x y z (fractional)
Sm  0.2500  0.2500  0.1553
Sm  0.7500  0.7500  0.8447
Y  0.2500  0.7500  0.5000
Y  0.7500  0.2500  0.5000
Pb  0.2500  0.2500  0.7791
Pb  0.7500  0.7500  0.2209